This entry pairs a crystal structure of Nb6Si6Ni with its calculated powder diffraction line list. Radiation: Cu Kα X-rays. Structure: a cell relaxed with GGA-PBE.
Lines closer than 0.1° are merged.

Main lines, in order of rising 2θ (15° ≤ 2θ ≤ 90°):
| 2theta | I (rel.) |
| --- | --- |
| 20.4 | 14 |
| 35.8 | 100 |
| 40.3 | 52 |
| 41.6 | 70 |
| 41.7 | 14 |
| 43.5 | 38 |
| 64.3 | 18 |
| 67.4 | 22 |
| 69.6 | 18 |
| 75.8 | 28 |

Crystal structure
Unit cell a=9.1616 b=9.1616 c=9.1616 alpha=31.78 beta=31.78 gamma=31.78
Fractional coordinates of all 13 atoms:
Nb 0.0490 0.0490 0.0490
Nb 0.1496 0.1496 0.1496
Nb 0.3369 0.3369 0.3369
Nb 0.6631 0.6631 0.6631
Nb 0.8504 0.8504 0.8504
Nb 0.9510 0.9510 0.9510
Si 0.0888 0.5931 0.5931
Si 0.4069 0.4069 0.9112
Si 0.4069 0.9112 0.4069
Si 0.5931 0.0888 0.5931
Si 0.5931 0.5931 0.0888
Si 0.9112 0.4069 0.4069
Ni 0.5000 0.5000 0.5000

***

This entry pairs a crystal structure of Nb10Si2Ni with its calculated powder diffraction line list. Radiation: Cu Kα X-rays. Structure: a cell relaxed with GGA-PBE.
Lines closer than 0.1° are merged.

Main lines, in order of rising 2θ (15° ≤ 2θ ≤ 90°):
| 2theta | I (rel.) |
| --- | --- |
| 37.4 | 33 |
| 38.2 | 31 |
| 39.1 | 100 |
| 39.6 | 34 |
| 40.3 | 34 |
| 41.5 | 35 |
| 42.7 | 55 |
| 64.3 | 22 |
| 69.9 | 23 |
| 71.5 | 27 |

Crystal structure
Unit cell a=9.9040 b=9.9040 c=9.9040 alpha=30.90 beta=30.90 gamma=30.90
Fractional coordinates of all 13 atoms:
Nb 0.0878 0.5914 0.5914
Nb 0.1506 0.1506 0.1506
Nb 0.3341 0.3341 0.3341
Nb 0.4086 0.4086 0.9122
Nb 0.4086 0.9122 0.4086
Nb 0.5914 0.0878 0.5914
Nb 0.5914 0.5914 0.0878
Nb 0.6659 0.6659 0.6659
Nb 0.8494 0.8494 0.8494
Nb 0.9122 0.4086 0.4086
Si 0.0476 0.0476 0.0476
Si 0.9524 0.9524 0.9524
Ni 0.5000 0.5000 0.5000

***

This entry pairs a crystal structure of Nb2Si3Ni2 with its calculated powder diffraction line list. Radiation: Cu Kα X-rays. Structure: a cell relaxed with GGA-PBE.
Lines closer than 0.1° are merged.

Main lines, in order of rising 2θ (15° ≤ 2θ ≤ 90°):
| 2theta | I (rel.) |
| --- | --- |
| 28.9 | 16 |
| 31.6 | 29 |
| 34.9 | 34 |
| 37.3 | 17 |
| 40.7 | 100 |
| 41.4 | 48 |
| 42.8 | 81 |
| 44.0 | 31 |
| 67.6 | 22 |
| 69.0 | 35 |

Crystal structure
Unit cell a=9.0821 b=9.0821 c=9.0821 alpha=94.38 beta=94.38 gamma=147.92
Fractional coordinates of all 28 atoms:
Nb 0.0000 0.1920 0.1920
Nb 0.0000 0.8080 0.8080
Nb 0.1920 0.0000 0.1920
Nb 0.3651 0.3651 0.7303
Nb 0.3651 0.6349 0.0000
Nb 0.6349 0.3651 0.0000
Nb 0.6349 0.6349 0.2697
Nb 0.8080 0.0000 0.8080
Si 0.0000 0.5000 0.5000
Si 0.2070 0.5000 0.7070
Si 0.2112 0.2112 0.4223
Si 0.2112 0.7888 0.0000
Si 0.2449 0.2449 0.0000
Si 0.5000 0.0000 0.5000
Si 0.5000 0.2070 0.7070
Si 0.5000 0.7930 0.2930
Si 0.7551 0.7551 0.0000
Si 0.7888 0.2112 0.0000
Si 0.7888 0.7888 0.5777
Si 0.7930 0.5000 0.2930
Ni 0.1083 0.6083 0.2166
Ni 0.1083 0.8917 0.5000
Ni 0.3917 0.6083 0.5000
Ni 0.3917 0.8917 0.7834
Ni 0.6083 0.1083 0.2166
Ni 0.6083 0.3917 0.5000
Ni 0.8917 0.1083 0.5000
Ni 0.8917 0.3917 0.7834

***

This entry pairs a crystal structure of Nb2Ni2Sn3 with its calculated powder diffraction line list. Radiation: Cu Kα X-rays. Structure: a cell relaxed with GGA-PBE.
Lines closer than 0.1° are merged.

Main lines, in order of rising 2θ (15° ≤ 2θ ≤ 90°):
| 2theta | I (rel.) |
| --- | --- |
| 23.4 | 15 |
| 24.3 | 15 |
| 29.8 | 17 |
| 38.2 | 100 |
| 40.5 | 94 |
| 53.8 | 11 |
| 56.9 | 31 |
| 67.4 | 13 |
| 72.2 | 31 |
| 73.7 | 16 |

Crystal structure
Unit cell a=8.3517 b=8.3517 c=8.3517 alpha=30.92 beta=30.92 gamma=30.92
Fractional coordinates of all 7 atoms:
Nb 0.0000 0.0000 0.0000
Nb 0.4955 0.4955 0.4955
Ni 0.2503 0.2503 0.2503
Ni 0.7439 0.7439 0.7439
Sn 0.3837 0.3837 0.3837
Sn 0.6177 0.6177 0.6177
Sn 0.8644 0.8644 0.8644

***

This entry pairs a crystal structure of Nb4Ni5Sn5 with its calculated powder diffraction line list. Radiation: Cu Kα X-rays. Structure: a cell relaxed with GGA-PBE.
Lines closer than 0.1° are merged.

Main lines, in order of rising 2θ (15° ≤ 2θ ≤ 90°):
| 2theta | I (rel.) |
| --- | --- |
| 25.9 | 26 |
| 30.0 | 36 |
| 42.9 | 100 |
| 50.8 | 6 |
| 53.2 | 9 |
| 62.1 | 5 |
| 62.3 | 10 |
| 70.7 | 7 |
| 78.5 | 10 |
| 78.6 | 19 |

Crystal structure
Unit cell a=7.3024 b=7.3024 c=7.3024 alpha=99.65 beta=99.65 gamma=131.67
Fractional coordinates of all 14 atoms:
Nb 0.0551 0.1560 0.7021
Nb 0.4539 0.3530 0.2979
Nb 0.6470 0.9449 0.1009
Nb 0.8440 0.5461 0.8991
Ni 0.0000 0.0000 0.0000
Ni 0.1905 0.5845 0.8201
Ni 0.4155 0.2356 0.6060
Ni 0.6296 0.8095 0.3940
Ni 0.7644 0.3704 0.1799
Sn 0.1530 0.4616 0.1291
Sn 0.3325 0.0238 0.8709
Sn 0.5384 0.6675 0.6914
Sn 0.7500 0.2500 0.5000
Sn 0.9762 0.8470 0.3086

***

This entry pairs a crystal structure of TaNb2Ni with its calculated powder diffraction line list. Radiation: Cu Kα X-rays. Structure: a cell relaxed with GGA-PBE.
Lines closer than 0.1° are merged.

Main lines, in order of rising 2θ (15° ≤ 2θ ≤ 90°):
| 2theta | I (rel.) |
| --- | --- |
| 24.0 | 10 |
| 27.8 | 9 |
| 39.8 | 100 |
| 47.0 | 5 |
| 49.2 | 3 |
| 57.5 | 17 |
| 63.2 | 2 |
| 65.0 | 3 |
| 72.2 | 33 |
| 85.7 | 11 |

Crystal structure
Unit cell a=6.4128 b=6.4128 c=6.4128 alpha=90.00 beta=90.00 gamma=90.00
Fractional coordinates of all 16 atoms:
Ta 0.0000 0.0000 0.0000
Ta 0.0000 0.5000 0.5000
Ta 0.5000 0.0000 0.5000
Ta 0.5000 0.5000 0.0000
Nb 0.0000 0.0000 0.5000
Nb 0.0000 0.5000 0.0000
Nb 0.2500 0.2500 0.7500
Nb 0.2500 0.7500 0.2500
Nb 0.5000 0.0000 0.0000
Nb 0.5000 0.5000 0.5000
Nb 0.7500 0.2500 0.2500
Nb 0.7500 0.7500 0.7500
Ni 0.2500 0.2500 0.2500
Ni 0.2500 0.7500 0.7500
Ni 0.7500 0.2500 0.7500
Ni 0.7500 0.7500 0.2500